Theoretical PXRD pattern of LiMg6Al for Cu Kα (weighted mean of Kα1 and Kα2), from a cell relaxed with PBE.

Structure:
Cell lengths 5.050, 6.262, 6.262 Å; angles 60.11, 90.00, 90.00 degrees
Sites, in units of the cell vectors:
Li1 0.000 0.000 0.000
Mg1 0.000 0.000 0.491
Mg2 0.000 0.491 0.000
Mg3 0.000 0.497 0.497
Mg4 0.500 0.164 0.668
Mg5 0.500 0.664 0.664
Mg6 0.500 0.668 0.164
Al1 0.500 0.163 0.163

Most intense lines, 2θ from 10° to 90°, sorted by position:
33.0 deg, I 25; 35.6 deg, I 26; 37.6 deg, I 100; 49.3 deg, I 15; 65.2 deg, I 19; 70.8 deg, I 13

Theoretical PXRD pattern of NaP for Cu Kα (weighted mean of Kα1 and Kα2), from a cell relaxed with PBE.

Structure:
Cell lengths 5.670, 6.064, 10.158 Å; angles 90.00, 90.00, 90.00 degrees
Sites, in units of the cell vectors:
Na1 0.116 0.115 0.418
Na2 0.155 0.336 0.784
Na3 0.345 0.664 0.284
Na4 0.384 0.885 0.918
Na5 0.616 0.385 0.582
Na6 0.655 0.164 0.216
Na7 0.845 0.836 0.716
Na8 0.884 0.615 0.082
P1 0.113 0.558 0.535
P2 0.153 0.179 0.116
P3 0.347 0.821 0.616
P4 0.387 0.442 0.035
P5 0.613 0.942 0.465
P6 0.653 0.321 0.884
P7 0.847 0.679 0.384
P8 0.887 0.058 0.965

Most intense lines, 2θ from 10° to 90°, sorted by position:
17.0 deg, I 68; 30.8 deg, I 76; 34.2 deg, I 100; 34.9 deg, I 48; 36.1 deg, I 43; 38.0 deg, I 39

Theoretical PXRD pattern of TiTe3O8 for Cu Kα (weighted mean of Kα1 and Kα2), from a cell relaxed with PBE.

Structure:
Cell lengths 9.722, 9.722, 9.722 Å; angles 109.47, 109.47, 109.47 degrees
Sites, in units of the cell vectors:
Ti1 0.000 0.000 0.500
Ti2 0.000 0.500 0.000
Ti3 0.500 0.000 0.000
Ti4 0.500 0.500 0.500
Te1 0.046 0.250 0.296
Te2 0.204 0.454 0.750
Te3 0.250 0.296 0.046
Te4 0.250 0.796 0.546
Te5 0.296 0.046 0.250
Te6 0.454 0.750 0.204
Te7 0.546 0.250 0.796
Te8 0.704 0.954 0.750
Te9 0.750 0.204 0.454
Te10 0.750 0.704 0.954
Te11 0.796 0.546 0.250
Te12 0.954 0.750 0.704
O1 0.000 0.344 0.500
O2 0.000 0.656 0.500
O3 0.035 0.462 0.804
O4 0.038 0.072 0.342
O5 0.072 0.342 0.038
O6 0.156 0.156 0.156
O7 0.158 0.230 0.696
O8 0.196 0.965 0.538
O9 0.230 0.696 0.158
O10 0.270 0.428 0.465
O11 0.304 0.842 0.770
O12 0.342 0.038 0.072
O13 0.344 0.500 0.000
O14 0.428 0.465 0.270
O15 0.462 0.804 0.035
O16 0.465 0.270 0.428
O17 0.500 0.000 0.344
O18 0.500 0.000 0.656
O19 0.535 0.730 0.572
O20 0.538 0.196 0.965
O21 0.572 0.535 0.730
O22 0.656 0.500 0.000
O23 0.658 0.962 0.928
O24 0.696 0.158 0.230
O25 0.730 0.572 0.535
O26 0.770 0.304 0.842
O27 0.804 0.035 0.462
O28 0.842 0.770 0.304
O29 0.844 0.844 0.844
O30 0.928 0.658 0.962
O31 0.962 0.928 0.658
O32 0.965 0.538 0.196

Most intense lines, 2θ from 10° to 90°, sorted by position:
19.4 deg, I 40; 27.5 deg, I 100; 29.8 deg, I 26; 31.9 deg, I 31; 45.7 deg, I 26; 54.2 deg, I 22

Theoretical PXRD pattern of NaPrHg2 for Cu Kα (weighted mean of Kα1 and Kα2), from a cell relaxed with PBE.

Structure:
Cell lengths 5.323, 5.323, 5.323 Å; angles 60.00, 60.00, 60.00 degrees
Sites, in units of the cell vectors:
Na1 0.000 0.000 0.000
Pr1 0.500 0.500 0.500
Hg1 0.250 0.250 0.250
Hg2 0.750 0.750 0.750

Most intense lines, 2θ from 10° to 90°, sorted by position:
23.6 deg, I 20; 33.7 deg, I 100; 48.4 deg, I 18; 60.2 deg, I 38; 70.8 deg, I 12; 80.7 deg, I 17

Theoretical PXRD pattern of CuPN2 for Cu Kα (weighted mean of Kα1 and Kα2), from a cell relaxed with PBE.

Structure:
Cell lengths 5.008, 5.008, 5.008 Å; angles 126.64, 126.64, 78.84 degrees
Sites, in units of the cell vectors:
Cu1 0.000 0.000 0.000
Cu2 0.750 0.250 0.500
P1 0.250 0.750 0.500
P2 0.500 0.500 0.000
N1 0.209 0.125 0.584
N2 0.375 0.791 0.916
N3 0.541 0.625 0.416
N4 0.875 0.459 0.084

Most intense lines, 2θ from 10° to 90°, sorted by position:
36.6 deg, I 100; 40.1 deg, I 24; 46.7 deg, I 12; 58.0 deg, I 14; 63.4 deg, I 23; 70.6 deg, I 25